Structure and computed powder diffractogram of Er6Pd5Pt (a cell relaxed with GGA-PBE; a wavelength of 1.5418 Å).
Kinematic intensities with the Lorentz-polarization factor, no thermal factor.

Main lines, in order of rising 2θ (2θ from 5° to 70°):
15.2°, intensity 1; 17.1°, intensity 1; 26.9°, intensity 3; 27.2°, intensity 1; 31.3°, intensity 100; 44.7°, intensity 37; 45.0°, intensity 37; 53.0°, intensity 1; 55.4°, intensity 7; 55.6°, intensity 13; 56.0°, intensity 6; 65.3°, intensity 12

Structure:
a b c (Å): 7.023 7.023 6.965
angles (deg): 99.65 99.65 119.90
Element x y z (fractional)
Er: 0.081 0.411 0.746
Er: 0.244 0.244 0.248
Er: 0.411 0.081 0.746
Er: 0.589 0.919 0.254
Er: 0.756 0.756 0.752
Er: 0.919 0.589 0.254
Pd: 0.170 0.830 0.000
Pd: 0.335 0.665 0.500
Pd: 0.500 0.500 0.000
Pd: 0.665 0.335 0.500
Pd: 0.830 0.170 0.000
Pt: 0.000 0.000 0.500

=====

Structure and computed powder diffractogram of Sr2Ni17 (a cell relaxed with GGA-PBE; a wavelength of 1.5418 Å).
Kinematic intensities with the Lorentz-polarization factor, no thermal factor.

Main lines, in order of rising 2θ (2θ from 5° to 70°):
14.1°, intensity 17; 30.5°, intensity 17; 36.8°, intensity 33; 38.5°, intensity 32; 42.8°, intensity 73; 43.3°, intensity 100; 44.2°, intensity 15; 44.7°, intensity 57; 48.6°, intensity 62; 49.9°, intensity 23; 62.5°, intensity 12; 63.6°, intensity 15

Structure:
a b c (Å): 6.347 6.347 6.347
angles (deg): 83.48 83.48 83.48
Element x y z (fractional)
Sr: 0.155 0.155 0.155
Sr: 0.845 0.845 0.845
Ni: 0.000 0.500 0.500
Ni: 0.160 0.160 0.647
Ni: 0.160 0.647 0.160
Ni: 0.215 0.500 0.785
Ni: 0.215 0.785 0.500
Ni: 0.353 0.840 0.840
Ni: 0.403 0.403 0.403
Ni: 0.500 0.000 0.500
Ni: 0.500 0.215 0.785
Ni: 0.500 0.500 0.000
Ni: 0.500 0.785 0.215
Ni: 0.597 0.597 0.597
Ni: 0.647 0.160 0.160
Ni: 0.785 0.215 0.500
Ni: 0.785 0.500 0.215
Ni: 0.840 0.353 0.840
Ni: 0.840 0.840 0.353

=====

Structure and computed powder diffractogram of La6PrY5 (a cell relaxed with GGA-PBE; a wavelength of 1.5418 Å).
Kinematic intensities with the Lorentz-polarization factor, no thermal factor.

Main lines, in order of rising 2θ (2θ from 5° to 70°):
23.9°, intensity 2; 29.8°, intensity 100; 34.0°, intensity 35; 35.7°, intensity 15; 48.9°, intensity 13; 50.1°, intensity 6; 50.1°, intensity 17; 58.3°, intensity 29; 60.5°, intensity 10; 60.6°, intensity 3; 62.0°, intensity 9; 62.0°, intensity 3

Structure:
a b c (Å): 6.264 7.450 8.993
angles (deg): 89.99 87.48 89.94
Element x y z (fractional)
La: 0.000 0.249 0.000
La: 0.000 0.751 0.000
La: 0.331 0.250 0.334
La: 0.331 0.750 0.335
La: 0.669 0.250 0.665
La: 0.669 0.750 0.666
Pr: 0.500 0.500 0.000
Y: 0.168 0.500 0.666
Y: 0.169 0.000 0.667
Y: 0.500 0.000 0.000
Y: 0.831 0.000 0.333
Y: 0.832 0.500 0.334